Record 1
Diffraction record for Li2Sn2Au. The XRD peak list is computed, not measured: it uses a structure optimized by DFT (GGA-PBE) and λ = 1.5418 Å (Cu Kα).

Largest 6 diffraction maxima, sorted by position, 2θ = 10–90°:
Position (°2θ)  Rel. int.
23.41  100
38.62  60
38.86  31
45.45  17
45.87  35
70.21  22

```
10
Lattice="-2.317 2.317 9.950 2.317 -2.317 9.950 2.317 2.317 -9.950" Properties=species:S:1:pos:R:3 pbc="T T T"
Li 2.317 1.159 -3.968
Li 0.000 1.159 1.007
Li 2.317 1.159 8.943
Li 0.000 1.159 13.918
Sn 2.317 1.159 -0.951
Sn 0.000 1.159 4.024
Sn 2.317 1.159 5.926
Sn 0.000 1.159 10.901
Au 2.317 -1.159 7.463
Au 0.000 3.476 2.488
```

Record 2
Diffraction record for Ga. The XRD peak list is computed, not measured: it uses a structure optimized by DFT (GGA-PBE) and λ = 1.5418 Å (Cu Kα).

Largest 6 diffraction maxima, sorted by position, 2θ = 10–90°:
Position (°2θ)  Rel. int.
36.14  100
47.21  31
56.56  18
68.98  19
72.87  12
80.42  18

```
12
Lattice="6.089 0.000 0.000 0.000 6.089 0.000 0.000 0.000 6.089" Properties=species:S:1:pos:R:3 pbc="T T T"
Ga 0.000 1.522 2.283
Ga 0.000 4.567 0.761
Ga 0.761 0.000 4.567
Ga 1.522 2.283 0.000
Ga 1.522 3.805 3.044
Ga 2.283 0.000 1.522
Ga 3.044 1.522 3.805
Ga 3.044 4.567 5.328
Ga 3.805 3.044 1.522
Ga 4.567 0.761 0.000
Ga 4.567 5.328 3.044
Ga 5.328 3.044 4.567
```

Record 3
Diffraction record for LiY4Bi4O12. The XRD peak list is computed, not measured: it uses a structure optimized by DFT (GGA-PBE) and λ = 1.5418 Å (Cu Kα).

Largest 6 diffraction maxima, sorted by position, 2θ = 10–90°:
Position (°2θ)  Rel. int.
27.10  100
28.36  94
28.66  74
29.03  76
29.52  63
30.03  49

```
21
Lattice="5.967 0.000 0.000 0.429 6.057 0.000 0.223 0.379 9.430" Properties=species:S:1:pos:R:3 pbc="T T T"
Li 0.000 0.000 0.000
Y 2.682 4.584 7.685
Y 2.619 4.278 2.529
Y 4.885 1.515 7.075
Y 5.054 0.920 3.041
Bi 1.844 1.074 5.162
Bi 2.667 0.887 0.584
Bi 5.293 4.305 5.303
Bi 5.542 3.410 0.222
O 0.653 3.324 7.743
O 1.279 6.304 6.928
O 1.384 5.615 3.791
O 1.780 4.683 0.477
O 3.239 2.189 2.563
O 3.551 3.206 6.086
O 3.995 5.985 6.143
O 3.948 2.881 8.773
O 4.507 4.985 3.332
O 4.786 6.053 8.782
O 5.701 2.015 4.840
O 6.069 1.466 1.199
```

Record 4
Diffraction record for Mg14SiBiO16. The XRD peak list is computed, not measured: it uses a structure optimized by DFT (GGA-PBE) and λ = 1.5418 Å (Cu Kα).

Largest 6 diffraction maxima, sorted by position, 2θ = 10–90°:
Position (°2θ)  Rel. int.
10.04  65
20.17  29
22.59  26
28.68  17
41.00  100
59.39  39

```
32
Lattice="6.154 -6.306 0.000 6.154 6.306 0.000 0.000 0.000 4.399" Properties=species:S:1:pos:R:3 pbc="T T T"
Mg 3.077 3.153 0.000
Mg 1.549 1.575 2.199
Mg 4.551 1.694 2.199
Mg 6.154 3.266 0.000
Mg 3.036 0.000 0.000
Mg 1.549 -1.575 2.199
Mg 7.757 1.694 2.199
Mg 3.077 -3.153 0.000
Mg 4.551 -1.694 2.199
Mg 10.759 1.575 2.199
Mg 9.272 0.000 0.000
Mg 6.154 -3.266 0.000
Mg 7.757 -1.694 2.199
Mg 10.759 -1.575 2.199
Si 0.000 0.000 0.000
Bi 6.154 0.000 0.000
O 0.000 0.000 2.199
O 3.077 3.153 2.199
O 1.614 1.585 0.000
O 4.579 1.850 0.000
O 6.154 3.213 2.199
O 3.094 0.000 2.199
O 1.614 -1.585 0.000
O 7.729 1.850 0.000
O 3.077 -3.153 2.199
O 6.154 0.000 2.199
O 4.579 -1.850 0.000
O 10.694 1.585 0.000
O 9.214 0.000 2.199
O 6.154 -3.213 2.199
O 7.729 -1.850 0.000
O 10.694 -1.585 0.000
```

Record 5
Diffraction record for DyAlNi4. The XRD peak list is computed, not measured: it uses a structure optimized by DFT (GGA-PBE) and λ = 1.5418 Å (Cu Kα).

Largest 6 diffraction maxima, sorted by position, 2θ = 10–90°:
Position (°2θ)  Rel. int.
30.41  38
30.72  50
36.67  55
42.52  81
43.23  100
45.06  44

```
12
Lattice="5.009 0.000 0.000 0.000 8.429 0.000 0.000 0.000 4.024" Properties=species:S:1:pos:R:3 pbc="T T T"
Dy 0.000 0.000 0.000
Dy 2.504 4.215 0.000
Al 0.000 4.215 2.012
Al 2.504 0.000 2.012
Ni 0.000 2.811 0.000
Ni 0.000 5.618 0.000
Ni 1.252 2.107 2.012
Ni 1.252 6.322 2.012
Ni 2.504 1.404 0.000
Ni 2.504 7.025 0.000
Ni 3.756 2.107 2.012
Ni 3.756 6.322 2.012
```

Record 6
Diffraction record for Be15Nb6Ni8. The XRD peak list is computed, not measured: it uses a structure optimized by DFT (GGA-PBE) and λ = 1.5418 Å (Cu Kα).

Largest 6 diffraction maxima, sorted by position, 2θ = 10–90°:
Position (°2θ)  Rel. int.
16.53  38
28.84  68
36.52  85
43.87  93
47.99  100
72.09  26

```
29
Lattice="0.000 5.362 5.362 5.362 0.000 5.362 5.362 5.362 0.000" Properties=species:S:1:pos:R:3 pbc="T T T"
Be 0.000 0.000 0.000
Be 2.681 2.681 0.000
Be 2.681 0.000 2.681
Be 5.362 2.681 2.681
Be 3.500 1.862 1.862
Be 1.862 3.500 1.862
Be 1.862 1.862 3.500
Be 3.500 3.500 3.500
Be 0.000 2.681 2.681
Be 2.681 5.362 2.681
Be 2.681 2.681 5.362
Be 7.225 7.225 7.225
Be 8.862 8.862 7.225
Be 8.862 7.225 8.862
Be 7.225 8.862 8.862
Nb 5.362 5.362 3.180
Nb 5.362 3.180 5.362
Nb 7.544 5.362 5.362
Nb 3.180 5.362 5.362
Nb 5.362 7.544 5.362
Nb 5.362 5.362 7.544
Ni 1.317 1.317 1.317
Ni 4.045 4.045 1.317
Ni 4.045 1.317 4.045
Ni 9.408 6.679 6.679
Ni 1.317 4.045 4.045
Ni 6.679 9.408 6.679
Ni 6.679 6.679 9.408
Ni 9.408 9.408 9.408
```